# 1
Simulated powder diffraction line list of Zn4C3 for Cu Kα (λ = 1.5418 Å), from a GGA-PBE-relaxed structure.
Peak positions follow from Bragg's law for the DFT cell and can differ from measured ones.

Main lines, in order of rising 2θ (15 to 90 degrees two-theta):
d [Å], Position (°2θ), I_rel
2.825, 31.68, 9
2.778, 32.22, 24
2.506, 35.83, 93
2.275, 39.61, 100
2.217, 40.69, 30
1.942, 46.78, 17
1.640, 56.07, 49
1.371, 68.41, 30
1.330, 70.82, 16
1.319, 71.56, 32

Structure:
a b c (Å): 3.2802 3.2802 26.6056
angles (deg): 90.00 90.00 120.00
Space group R-3m (No. 166, hexagonal axes)
Symmetry-distinct sites (fractional):
Zn1 0.0000 0.0000 0.1228 x6
Zn2 0.0000 0.0000 0.2895 x6
C1 0.0000 0.0000 0.0000 x3
C2 0.0000 0.0000 0.4276 x6

=====

# 2
Simulated powder diffraction line list of Zr3Zn3C for Cu Kα (λ = 1.5418 Å), from a GGA-PBE-relaxed structure.
Peak positions follow from Bragg's law for the DFT cell and can differ from measured ones.

Main lines, in order of rising 2θ (15 to 90 degrees two-theta):
d [Å], Position (°2θ), I_rel
2.812, 31.82, 14
2.502, 35.89, 38
2.359, 38.15, 100
2.167, 41.68, 26
2.043, 44.34, 9
1.848, 49.31, 6
1.498, 61.97, 7
1.445, 64.50, 37
1.415, 66.00, 8
1.232, 77.47, 18

Structure:
a b c (Å): 12.2582 12.2582 12.2582
angles (deg): 90.00 90.00 90.00
Space group Fd-3m (No. 227, origin choice 2)
Symmetry-distinct sites (fractional):
Zr1 0.0650 0.3750 0.3750 x48
Zn1 0.0000 0.0000 0.5000 x16
Zn2 0.0444 0.0444 0.7056 x32
C1 0.0000 0.0000 0.0000 x16

=====

# 3
Simulated powder diffraction line list of Zr3C2 for Cu Kα (λ = 1.5418 Å), from a GGA-PBE-relaxed structure.
Peak positions follow from Bragg's law for the DFT cell and can differ from measured ones.

Main lines, in order of rising 2θ (15 to 90 degrees two-theta):
d [Å], Position (°2θ), I_rel
5.451, 16.26, 3
2.727, 32.84, 100
2.369, 37.98, 22
2.358, 38.16, 45
1.671, 54.95, 36
1.666, 55.12, 7
1.427, 65.38, 13
1.423, 65.62, 26
1.364, 68.85, 14
1.179, 81.66, 4

Structure:
a b c (Å): 5.7930 10.0135 5.7922
angles (deg): 90.00 109.76 90.00
Space group C2/m (No. 12)
Symmetry-distinct sites (fractional):
Zr1 0.2359 0.0000 0.2437 x4
Zr2 0.2475 0.1605 0.7654 x8
C1 0.0000 0.0000 0.5000 x2
C2 0.0000 0.1657 0.0000 x4
C3 0.0000 0.5000 0.0000 x2